# 1
Structure and theoretical PXRD pattern of Ti2AlPd4 (a crystal structure in Alexandria, relaxed with PBE; copper Kα).
No peak broadening, texture or thermal motion is included.

Most intense lines, 2θ = 10–80°, by intensity:
hkl 1 1 0, 2θ 40.11, I 100
hkl 1 0 7, 2θ 40.79, I 64
hkl 1 0 4, 2θ 29.78, I 43
hkl 0 2 7, 2θ 58.53, I 21
hkl 2 1 7, 2θ 73.33, I 21
hkl 3 0 0, 2θ 72.87, I 16
hkl 0 1 8, 2θ 45.02, I 12
hkl 0 1 11, 2θ 58.97, I 10
hkl 0 0 3, 2θ 14.12, I 10
hkl 0 2 4, 2θ 50.75, I 10

Crystal structure
a b c (Å): 4.4965 4.4965 18.8192
angles (deg): 90.00 90.00 120.00
Space group R-3m (No. 166, hexagonal axes)
Inequivalent atoms, fractional coordinates:
Ti (0.0000, 0.0000, 0.2283) x6
Al (0.0000, 0.0000, 0.5000) x3
Pd (0.0000, 0.0000, 0.0903) x6
Pd (0.0000, 0.0000, 0.3653) x6


# 2
Structure and theoretical PXRD pattern of Pm4Bi2Pb (a crystal structure in Alexandria, relaxed with PBE; copper Kα).
No peak broadening, texture or thermal motion is included.

Most intense lines, 2θ = 10–80°, by intensity:
hkl 3 1 -1, 2θ 25.98, I 100
hkl 3 1 1, 2θ 34.10, I 60
hkl 3 1 -3, 2θ 39.91, I 53
hkl 5 1 -1, 2θ 34.41, I 43
hkl 0 2 0, 2θ 39.09, I 32
hkl 6 0 -2, 2θ 34.88, I 29
hkl 1 1 -1, 2θ 22.44, I 24
hkl 8 2 0, 2θ 67.36, I 21
hkl 2 0 2, 2θ 34.24, I 19
hkl 6 2 -2, 2θ 53.38, I 17

Crystal structure
a b c (Å): 15.8440 4.6083 7.7770
angles (deg): 90.00 118.37 90.00
Space group C2/m (No. 12)
Inequivalent atoms, fractional coordinates:
Pm (0.1175, 0.0000, 0.2601) x4
Pm (0.1184, 0.5000, 0.8095) x4
Bi (0.2426, 0.0000, 0.7323) x4
Pb (0.0000, 0.0000, 0.5000) x2


# 3
Structure and theoretical PXRD pattern of Be4Au3 (a crystal structure in Alexandria, relaxed with PBE; copper Kα).
No peak broadening, texture or thermal motion is included.

Most intense lines, 2θ = 10–80°, by intensity:
hkl 1 0 3, 2θ 32.86, I 100
hkl 1 1 0, 2θ 42.52, I 33
hkl 1 0 7, 2θ 44.51, I 30
hkl 0 0 6, 2θ 27.65, I 23
hkl 2 1 3, 2θ 71.69, I 22
hkl 0 0 4, 2θ 18.33, I 18
hkl 1 1 6, 2θ 51.47, I 17
hkl 1 1 10, 2θ 65.17, I 14
hkl 0 0 16, 2θ 79.20, I 14
hkl 1 0 13, 2θ 70.57, I 13

Crystal structure
a b c (Å): 3.0069 3.0069 19.3605
angles (deg): 90.00 90.00 90.00
Space group I4/mmm (No. 139)
Inequivalent atoms, fractional coordinates:
Be (0.0000, 0.0000, 0.0684) x4
Be (0.0000, 0.0000, 0.3698) x4
Au (0.0000, 0.0000, 0.1922) x4
Au (0.0000, 0.0000, 0.5000) x2


# 4
Structure and theoretical PXRD pattern of BTePt (a crystal structure in Alexandria, relaxed with PBE; copper Kα).
No peak broadening, texture or thermal motion is included.

Most intense lines, 2θ = 10–80°, by intensity:
hkl 1 3 1, 2θ 24.58, I 100
hkl 0 2 2, 2θ 29.46, I 85
hkl 4 2 2, 2θ 45.67, I 56
hkl 2 4 0, 2θ 30.44, I 37
hkl 1 1 1, 2θ 16.90, I 32
hkl 1 3 3, 2θ 45.78, I 27
hkl 2 0 2, 2θ 31.67, I 26
hkl 2 6 2, 2θ 50.40, I 25
hkl 3 3 1, 2θ 34.56, I 24
hkl 4 4 0, 2θ 42.83, I 22

Crystal structure
a b c (Å): 10.5233 14.1542 6.6976
angles (deg): 90.00 90.00 90.00
Space group Fdd2 (No. 43)
Inequivalent atoms, fractional coordinates:
B (0.0419, 0.1020, 0.0000) x16
Te (0.0013, 0.3538, 0.9608) x16
Pt (0.1167, 0.4575, 0.3931) x16


# 5
Structure and theoretical PXRD pattern of ScCoSi2Ru (a crystal structure in Alexandria, relaxed with PBE; copper Kα).
No peak broadening, texture or thermal motion is included.

Most intense lines, 2θ = 10–80°, by intensity:
hkl 1 1 2, 2θ 37.33, I 100
hkl 0 0 2, 2θ 18.59, I 49
hkl 2 0 0, 2θ 45.99, I 43
hkl 1 1 4, 2θ 50.31, I 30
hkl 1 0 3, 2θ 36.27, I 22
hkl 3 1 2, 2θ 79.36, I 20
hkl 1 1 6, 2θ 67.81, I 16
hkl 2 0 2, 2θ 50.02, I 14
hkl 2 2 0, 2θ 67.08, I 13
hkl 0 0 4, 2θ 37.70, I 13

Crystal structure
a b c (Å): 3.9466 3.9466 9.5448
angles (deg): 90.00 90.00 90.00
Space group I-4m2 (No. 119)
Inequivalent atoms, fractional coordinates:
Sc (0.0000, 0.0000, 0.0000) x2
Co (0.0000, 0.5000, 0.7500) x2
Si (0.0000, 0.0000, 0.3751) x4
Ru (0.0000, 0.5000, 0.2500) x2


# 6
Structure and theoretical PXRD pattern of Cd6Pd5 (a crystal structure in Alexandria, relaxed with PBE; copper Kα).
No peak broadening, texture or thermal motion is included.

Most intense lines, 2θ = 10–80°, by intensity:
hkl 1 3 2, 2θ 39.32, I 100
hkl 2 0 0, 2θ 38.99, I 26
hkl 0 6 0, 2θ 38.86, I 26
hkl 2 6 0, 2θ 56.22, I 17
hkl 3 3 2, 2θ 70.84, I 17
hkl 1 9 2, 2θ 70.66, I 16
hkl 2 0 4, 2θ 71.54, I 16
hkl 0 0 4, 2θ 57.41, I 8
hkl 1 3 1, 2θ 30.67, I 4
hkl 1 1 1, 2θ 24.59, I 3

Crystal structure
a b c (Å): 4.6205 13.9061 6.4204
angles (deg): 90.00 90.00 90.00
Space group Cmmm (No. 65)
Inequivalent atoms, fractional coordinates:
Cd (0.0000, 0.0000, 0.2338) x4
Cd (0.0000, 0.3368, 0.2471) x8
Pd (0.0000, 0.1610, 0.5000) x4
Pd (0.0000, 0.1713, 0.0000) x4
Pd (0.0000, 0.5000, 0.5000) x2